# 1
This entry pairs a crystal structure of Tb7DyEr2 with its simulated X-ray diffraction stick pattern. Radiation: copper Kα. Structure: a DFT-relaxed cell (PBE, Alexandria).
Intensities are scaled so that the largest is 1000.

Top 8 peaks for 2θ from 10° to 90°, in order of rising 2θ:
| (hkl) | d (Å) | 2theta | I/Imax |
| --- | --- | --- | --- |
| 1 2 1 | 2.893 | 30.91 | 868 |
| 1 0 5 | 2.841 | 31.50 | 1000 |
| 2 0 0 | 2.711 | 33.04 | 457 |
| 0 2 4 | 2.678 | 33.46 | 413 |
| 2 2 4 | 1.905 | 47.73 | 307 |
| 3 0 5 | 1.589 | 58.04 | 177 |
| 1 2 9 | 1.567 | 58.94 | 174 |
| 1 4 5 | 1.488 | 62.39 | 285 |

Atomic structure:
Cell: 5.423 6.990 16.673 Å, 90.00 90.00 90.00°
Space group Immm (No. 71)
Unique sites:
Tb: 0.000 0.000 0.000 x2
Tb: 0.000 0.251 0.391 x8
Tb: 0.000 0.500 0.199 x4
Dy: 0.000 0.500 0.000 x2
Er: 0.000 0.000 0.199 x4



# 2
This entry pairs a crystal structure of Si2BRu with its simulated X-ray diffraction stick pattern. Radiation: copper Kα. Structure: a DFT-relaxed cell (PBE, Alexandria).
Intensities are scaled so that the largest is 1000.

Top 8 peaks for 2θ from 10° to 90°, in order of rising 2θ:
| (hkl) | d (Å) | 2theta | I/Imax |
| --- | --- | --- | --- |
| 1 0 1 | 4.538 | 19.56 | 680 |
| 1 1 2 | 2.847 | 31.42 | 1000 |
| 1 0 3 | 2.553 | 35.15 | 276 |
| 2 1 1 | 2.292 | 39.32 | 425 |
| 2 2 0 | 1.877 | 48.49 | 226 |
| 2 1 3 | 1.840 | 49.53 | 134 |
| 2 0 4 | 1.687 | 54.40 | 341 |
| 3 1 2 | 1.567 | 58.93 | 288 |

Atomic structure:
Cell: 5.310 5.310 8.736 Å, 90.00 90.00 90.00°
Space group I-42d (No. 122)
Unique sites:
Si: 0.199 0.250 0.125 x8
B: 0.000 0.000 0.000 x4
Ru: 0.000 0.000 0.500 x4



# 3
This entry pairs a crystal structure of Np2U5P3 with its simulated X-ray diffraction stick pattern. Radiation: copper Kα. Structure: a DFT-relaxed cell (PBE, Alexandria).
Intensities are scaled so that the largest is 1000.

Top 8 peaks for 2θ from 10° to 90°, in order of rising 2θ:
| (hkl) | d (Å) | 2theta | I/Imax |
| --- | --- | --- | --- |
| 0 2 -2 | 3.310 | 26.94 | 737 |
| 1 1 1 | 2.989 | 29.89 | 464 |
| 1 -1 2 | 2.976 | 30.03 | 565 |
| 2 0 1 | 2.575 | 34.84 | 946 |
| 2 1 -3 | 2.550 | 35.19 | 618 |
| 1 -3 1 | 2.503 | 35.88 | 465 |
| 2 0 -3 | 2.479 | 36.23 | 1000 |
| 1 3 -1 | 2.271 | 39.69 | 469 |

Atomic structure:
Cell: 7.223 7.763 8.450 Å, 111.77 110.74 95.78°
Space group P-1 (No. 2)
Unique sites:
Np: 0.119 0.094 0.281 x2
Np: 0.364 0.794 0.707 x2
U: 0.015 0.365 0.208 x2
U: 0.027 0.788 0.480 x2
U: 0.247 0.375 0.043 x2
U: 0.458 0.145 0.814 x2
U: 0.475 0.291 0.518 x2
P: 0.166 0.720 0.195 x2
P: 0.265 0.005 0.995 x2
P: 0.333 0.491 0.798 x2



# 4
This entry pairs a crystal structure of CaPr4Rh2 with its simulated X-ray diffraction stick pattern. Radiation: copper Kα. Structure: a DFT-relaxed cell (PBE, Alexandria).
Intensities are scaled so that the largest is 1000.

Top 8 peaks for 2θ from 10° to 90°, in order of rising 2θ:
| (hkl) | d (Å) | 2theta | I/Imax |
| --- | --- | --- | --- |
| 0 0 1 | 8.411 | 10.52 | 754 |
| 0 2 1 | 3.180 | 28.06 | 554 |
| 1 0 2 | 3.067 | 29.12 | 829 |
| 2 1 -2 | 3.053 | 29.26 | 442 |
| 1 1 2 | 2.800 | 31.96 | 1000 |
| 1 2 1 | 2.727 | 32.85 | 755 |
| 2 2 -1 | 2.526 | 35.54 | 836 |
| 3 0 -3 | 2.271 | 39.68 | 524 |

Atomic structure:
Cell: 7.454 6.870 9.193 Å, 90.00 113.81 90.00°
Space group P2_1/m (No. 11)
Unique sites:
Ca: 0.037 0.250 0.293 x2
Pr: 0.242 0.250 0.708 x2
Pr: 0.284 0.502 0.066 x4
Pr: 0.332 0.750 0.504 x2
Rh: 0.033 0.750 0.166 x2
Rh: 0.381 0.750 0.840 x2